Diffraction record for Li3V2Ge2O10. The powder X-ray diffraction pattern is calculated, not measured: it uses the GGA+U geometry in Alexandria and Cu Kα (λ = 1.5418 Å).
Peak positions follow from Bragg's law for the DFT cell and can differ from measured ones.

a = 6.562 Å, b = 6.562 Å, c = 9.265 Å
α = 90.00°, β = 90.00°, γ = 90.23°
Fractional coordinates of all 34 atoms:
1 Li 0.000 0.000 0.000
2 Li 0.000 0.500 0.000
3 Li 0.000 0.500 0.500
4 Li 0.500 0.000 0.000
5 Li 0.500 0.000 0.500
6 Li 0.500 0.500 0.500
7 V 0.241 0.759 0.697
8 V 0.259 0.741 0.197
9 V 0.741 0.259 0.803
10 V 0.759 0.241 0.303
11 Ge 0.248 0.252 0.750
12 Ge 0.252 0.248 0.250
13 Ge 0.748 0.752 0.750
14 Ge 0.752 0.748 0.250
15 O 0.032 0.249 0.864
16 O 0.035 0.260 0.364
17 O 0.230 0.770 0.876
18 O 0.240 0.465 0.136
19 O 0.249 0.032 0.136
20 O 0.251 0.468 0.636
21 O 0.260 0.035 0.636
22 O 0.270 0.730 0.376
23 O 0.465 0.240 0.864
24 O 0.468 0.251 0.364
25 O 0.532 0.749 0.636
26 O 0.535 0.760 0.136
27 O 0.730 0.270 0.624
28 O 0.740 0.965 0.364
29 O 0.749 0.532 0.364
30 O 0.751 0.968 0.864
31 O 0.760 0.535 0.864
32 O 0.770 0.230 0.124
33 O 0.965 0.740 0.636
34 O 0.968 0.751 0.136

Most intense lines, 2θ = 15–90°, sorted by position:
| 2θ (°) | I/Imax |
| --- | --- |
| 19.16 | 79 |
| 23.51 | 23 |
| 27.18 | 100 |
| 33.47 | 79 |
| 43.56 | 12 |
| 43.70 | 23 |
| 56.06 | 31 |
| 59.83 | 26 |
| 63.50 | 13 |
| 67.00 | 12 |